Structure and theoretical powder diffractogram of Tb2PaTl2Se6 (a crystal structure in Alexandria, relaxed with PBE; Cu Kα X-rays).

```
data_Tb2PaTl2Se6
_symmetry_space_group_name_H-M 'C 1 2/m 1'
_symmetry_Int_Tables_number 12
_cell_length_a 7.2350
_cell_length_b 12.5290
_cell_length_c 8.2139
_cell_angle_alpha 90.00
_cell_angle_beta 107.25
_cell_angle_gamma 90.00
loop_
_symmetry_equiv_pos_as_xyz
'x,y,z'
'-x,-y,-z'
'-x,y,-z'
'x,-y,z'
'x+1/2,y+1/2,z'
'-x+1/2,-y+1/2,-z'
'-x+1/2,y+1/2,-z'
'x+1/2,-y+1/2,z'
loop_
_atom_site_label
_atom_site_type_symbol
_atom_site_fract_x
_atom_site_fract_y
_atom_site_fract_z
Tb1 Tb 0.0000 0.1669 0.0000
Pa1 Pa 0.0000 0.5000 0.0000
Tl1 Tl 0.0000 0.3327 0.5000
Se1 Se 0.2320 0.3350 0.2026
Se2 Se 0.2398 0.0000 0.2033
```

Principal peaks in the range 10° ≤ 2θ ≤ 80°, in order of rising 2θ:
(hkl), d [Å], I (rel.)
0 0 1, 7.845, 13
1 1 0, 6.050, 13
2 0 0, 3.457, 15
1 3 1, 3.081, 100
2 0 2, 2.282, 37
0 6 0, 2.088, 35
4 0 0, 1.729, 19
1 9 1, 1.332, 11